Record 1
This entry pairs a crystal structure of BaZr with its theoretical powder X-ray diffraction pattern. Radiation: a wavelength of 1.5418 Å. Structure: a cell relaxed with PBE.

Structural model:
Lattice parameters (Å, degrees): 5.5056 15.3452 6.9735 90.00 90.00 90.00
Space group Pmm2 (No. 25)
Asymmetric unit:
Ba 0.0000 0.0000 0.0000
Ba 0.0000 0.1617 0.4650
Ba 0.0000 0.5000 0.1456
Ba 0.5000 0.0000 0.5990
Ba 0.5000 0.3375 0.2777
Ba 0.5000 0.5000 0.7428
Zr 0.0000 0.2359 0.9712
Zr 0.0000 0.3682 0.6784
Zr 0.5000 0.1304 0.0657
Zr 0.5000 0.2631 0.7720

Principal peaks in the range 10° ≤ 2θ ≤ 90°, in order of rising 2θ:
(1 2 1), 23.6 deg, d = 3.765 Å, rel. 22; (0 1 2), 26.2 deg, d = 3.400 Å, rel. 35; (1 3 1), 27.0 deg, d = 3.301 Å, rel. 48; (1 0 2), 30.3 deg, d = 2.946 Å, rel. 24; (1 1 2), 30.9 deg, d = 2.893 Å, rel. 22; (1 4 1), 31.2 deg, d = 2.869 Å, rel. 100; (2 0 0), 32.5 deg, d = 2.752 Å, rel. 61; (2 1 2), 42.2 deg, d = 2.140 Å, rel. 19; (2 3 3), 54.7 deg, d = 1.677 Å, rel. 20; (3 4 1), 57.2 deg, d = 1.611 Å, rel. 17



Record 2
This entry pairs a crystal structure of Ba3Zr with its theoretical powder X-ray diffraction pattern. Radiation: a wavelength of 1.5418 Å. Structure: a cell relaxed with PBE.

Structural model:
Lattice parameters (Å, degrees): 7.7446 7.7446 6.9781 90.00 90.00 120.00
Space group P6_3/mcm (No. 193)
Asymmetric unit:
Ba 0.0000 0.3969 0.2500
Zr 0.0000 0.0000 0.0000

Principal peaks in the range 10° ≤ 2θ ≤ 90°, in order of rising 2θ:
(0 0 2), 25.5 deg, d = 3.489 Å, rel. 20; (1 1 1), 26.3 deg, d = 3.386 Å, rel. 100; (2 0 0), 26.6 deg, d = 3.353 Å, rel. 53; (1 0 2), 28.8 deg, d = 3.095 Å, rel. 29; (1 1 2), 34.6 deg, d = 2.592 Å, rel. 43; (2 1 1), 37.8 deg, d = 2.383 Å, rel. 27; (3 0 0), 40.3 deg, d = 2.236 Å, rel. 20; (1 1 3), 45.5 deg, d = 1.994 Å, rel. 22; (3 1 1), 50.8 deg, d = 1.797 Å, rel. 29; (3 1 2), 56.0 deg, d = 1.641 Å, rel. 20



Record 3
This entry pairs a crystal structure of BaZr with its theoretical powder X-ray diffraction pattern. Radiation: a wavelength of 1.5418 Å. Structure: a cell relaxed with PBE.

Structural model:
Lattice parameters (Å, degrees): 3.5296 5.5619 14.1634 90.00 90.00 90.00
Space group Pmmn (No. 59, origin choice 2)
Asymmetric unit:
Ba 0.2500 0.2500 0.0854
Ba 0.2500 0.7500 0.2480
Zr 0.2500 0.2500 0.5279
Zr 0.2500 0.7500 0.6470

Principal peaks in the range 10° ≤ 2θ ≤ 90°, in order of rising 2θ:
(0 1 3), 24.7 deg, d = 3.599 Å, rel. 67; (1 0 2), 28.3 deg, d = 3.159 Å, rel. 45; (0 1 4), 29.9 deg, d = 2.987 Å, rel. 34; (0 2 0), 32.2 deg, d = 2.781 Å, rel. 55; (1 1 2), 32.6 deg, d = 2.747 Å, rel. 100; (0 1 5), 35.6 deg, d = 2.522 Å, rel. 47; (1 2 2), 43.3 deg, d = 2.087 Å, rel. 27; (1 1 5), 44.1 deg, d = 2.053 Å, rel. 17; (1 3 2), 57.7 deg, d = 1.599 Å, rel. 19; (2 2 0), 62.3 deg, d = 1.490 Å, rel. 17



Record 4
This entry pairs a crystal structure of BaZr3 with its theoretical powder X-ray diffraction pattern. Radiation: a wavelength of 1.5418 Å. Structure: a cell relaxed with PBE.

Structural model:
Lattice parameters (Å, degrees): 6.9447 6.9447 5.4201 90.00 90.00 120.00
Space group P6_3/mmc (No. 194)
Asymmetric unit:
Ba 0.3333 0.6667 0.2500
Zr 0.1486 0.2973 0.7500

Principal peaks in the range 10° ≤ 2θ ≤ 90°, in order of rising 2θ:
(1 0 1), 22.1 deg, d = 4.026 Å, rel. 7; (2 0 0), 29.7 deg, d = 3.007 Å, rel. 24; (0 0 2), 33.1 deg, d = 2.710 Å, rel. 26; (2 0 1), 34.1 deg, d = 2.630 Å, rel. 100; (2 0 2), 45.0 deg, d = 2.013 Å, rel. 15; (2 2 0), 52.7 deg, d = 1.736 Å, rel. 16; (2 0 3), 59.7 deg, d = 1.549 Å, rel. 19; (2 2 2), 63.7 deg, d = 1.462 Å, rel. 18; (4 0 1), 64.3 deg, d = 1.449 Å, rel. 12; (4 2 1), 87.7 deg, d = 1.112 Å, rel. 9